# 1
CaScSe2O8: calculated powder XRD pattern (Cu Kα X-rays), based on a cell relaxed with PBE.
Kinematic intensities with the Lorentz-polarization factor, no thermal factor.

Crystal structure
abc: 5.6316 5.6316 6.7638
angles: 90.00 90.00 120.00
Sites, in units of the cell vectors:
Ca 0.0000 0.0000 0.0000
Sc 0.0000 0.0000 0.5000
Se 0.3333 0.6667 0.7767
Se 0.6667 0.3333 0.2233
O 0.1592 0.3184 0.7110
O 0.1592 0.8408 0.7110
O 0.3184 0.1592 0.2890
O 0.3333 0.6667 0.0210
O 0.6667 0.3333 0.9790
O 0.6816 0.8408 0.7110
O 0.8408 0.1592 0.2890
O 0.8408 0.6816 0.2890

Principal peaks in the range 2θ from 10° to 90°, most intense first:
- 2θ = 22.48°, I = 1000
- 2θ = 31.78°, I = 467
- 2θ = 32.21°, I = 244
- 2θ = 45.88°, I = 215
- 2θ = 51.38°, I = 209
- 2θ = 44.26°, I = 140

---

# 2
CaSc4Si4O14: calculated powder XRD pattern (Cu Kα X-rays), based on a cell relaxed with PBE.
Kinematic intensities with the Lorentz-polarization factor, no thermal factor.

Crystal structure
abc: 8.8054 8.8054 8.8054
angles: 42.49 42.49 42.49
Sites, in units of the cell vectors:
Ca 0.0000 0.0000 0.0000
Sc 0.2171 0.7305 0.7305
Sc 0.7305 0.2171 0.7305
Sc 0.7305 0.7305 0.2171
Sc 0.7602 0.7602 0.7602
Si 0.2330 0.2330 0.2330
Si 0.2740 0.2740 0.7803
Si 0.2740 0.7803 0.2740
Si 0.7803 0.2740 0.2740
O 0.1215 0.1215 0.5468
O 0.1215 0.5468 0.1215
O 0.1709 0.5615 0.5615
O 0.3222 0.3222 0.8903
O 0.3222 0.8903 0.3222
O 0.3381 0.9537 0.9537
O 0.5468 0.1215 0.1215
O 0.5615 0.1709 0.5615
O 0.5615 0.5615 0.1709
O 0.5953 0.5953 0.5953
O 0.8403 0.8403 0.8403
O 0.8903 0.3222 0.3222
O 0.9537 0.3381 0.9537
O 0.9537 0.9537 0.3381

Principal peaks in the range 2θ from 10° to 90°, most intense first:
- 2θ = 11.06°, I = 1000
- 2θ = 37.56°, I = 640
- 2θ = 22.23°, I = 591
- 2θ = 33.27°, I = 412
- 2θ = 57.80°, I = 374
- 2θ = 44.60°, I = 246

---

# 3
CaSc4Si4O14: calculated powder XRD pattern (Cu Kα X-rays), based on a cell relaxed with PBE.
Kinematic intensities with the Lorentz-polarization factor, no thermal factor.

Crystal structure
abc: 7.1114 7.1114 7.1114
angles: 124.34 116.99 88.97
Sites, in units of the cell vectors:
Ca 0.0000 0.0000 0.0000
Sc 0.2510 0.5207 0.7304
Sc 0.3169 0.0743 0.7574
Sc 0.3169 0.5595 0.2426
Sc 0.7903 0.5207 0.2696
Si 0.3789 0.0649 0.3139
Si 0.7510 0.0649 0.6861
Si 0.7806 0.0363 0.2558
Si 0.7806 0.5248 0.7442
O 0.1144 0.1448 0.4481
O 0.1144 0.6664 0.9696
O 0.1665 0.6665 0.5000
O 0.2071 0.2071 0.0000
O 0.4591 0.4591 0.0000
O 0.4666 0.9666 0.5000
O 0.4893 0.3654 0.5417
O 0.4893 0.9476 0.1240
O 0.6967 0.1448 0.0304
O 0.6967 0.6664 0.5519
O 0.7662 0.7662 0.0000
O 0.8237 0.3654 0.8760
O 0.8237 0.9476 0.4583
O 0.8449 0.3449 0.5000

Principal peaks in the range 2θ from 10° to 90°, most intense first:
- 2θ = 32.22°, I = 1000
- 2θ = 29.80°, I = 805
- 2θ = 51.58°, I = 518
- 2θ = 55.36°, I = 297
- 2θ = 38.46°, I = 257
- 2θ = 39.94°, I = 210

---

# 4
CaSe2O5: calculated powder XRD pattern (Cu Kα X-rays), based on a cell relaxed with PBE.
Kinematic intensities with the Lorentz-polarization factor, no thermal factor.

Crystal structure
abc: 6.9707 11.3900 6.9143
angles: 90.00 90.00 90.00
Sites, in units of the cell vectors:
Ca 0.0000 0.0594 0.2500
Ca 0.0000 0.9406 0.7500
Ca 0.5000 0.4406 0.7500
Ca 0.5000 0.5594 0.2500
Se 0.1290 0.3418 0.0537
Se 0.1290 0.6582 0.5537
Se 0.3710 0.1582 0.5537
Se 0.3710 0.8418 0.0537
Se 0.6290 0.1582 0.9463
Se 0.6290 0.8418 0.4463
Se 0.8710 0.3418 0.4463
Se 0.8710 0.6582 0.9463
O 0.0000 0.4239 0.2500
O 0.0000 0.5761 0.7500
O 0.1706 0.0714 0.5481
O 0.1706 0.9286 0.0481
O 0.2009 0.2191 0.1689
O 0.2009 0.7809 0.6689
O 0.2991 0.2809 0.6689
O 0.2991 0.7191 0.1689
O 0.3294 0.4286 0.0481
O 0.3294 0.5714 0.5481
O 0.5000 0.0761 0.7500
O 0.5000 0.9239 0.2500
O 0.6706 0.4286 0.4519
O 0.6706 0.5714 0.9519
O 0.7009 0.2809 0.8311
O 0.7009 0.7191 0.3311
O 0.7991 0.2191 0.3311
O 0.7991 0.7809 0.8311
O 0.8294 0.0714 0.9519
O 0.8294 0.9286 0.4519

Principal peaks in the range 2θ from 10° to 90°, most intense first:
- 2θ = 23.93°, I = 1000
- 2θ = 29.76°, I = 737
- 2θ = 19.69°, I = 454
- 2θ = 26.74°, I = 416
- 2θ = 28.83°, I = 316
- 2θ = 49.59°, I = 258